Ba6Na2Cu: calculated powder diffractogram (Cu Kα X-rays), based on a structure optimized by DFT (GGA-PBE).
Intensities are scaled so that the largest is 100.

Principal peaks in the range 2θ from 10° to 80°, by intensity:
2theta	I_rel
24.65	100
26.98	38
29.29	38
26.76	35
40.25	31
23.06	25

Cell and atoms:
a = 8.6237 Å, b = 8.6241 Å, c = 15.7754 Å
α = 90.00°, β = 123.08°, γ = 90.00°
Sites, in units of the cell vectors:
Ba 0.1924 0.1998 0.4973
Ba 0.1924 0.3002 0.9973
Ba 0.2630 0.9997 0.2564
Ba 0.2630 0.5003 0.7564
Ba 0.2976 0.6951 0.4977
Ba 0.2976 0.8049 0.9977
Ba 0.7024 0.1951 0.0023
Ba 0.7024 0.3049 0.5023
Ba 0.7370 0.0003 0.7436
Ba 0.7370 0.4997 0.2436
Ba 0.8076 0.6998 0.0027
Ba 0.8076 0.8002 0.5027
Na 0.2470 0.0042 0.7499
Na 0.2470 0.4958 0.2499
Na 0.7530 0.5042 0.7501
Na 0.7530 0.9958 0.2501
Cu 0.5000 0.0000 0.5000
Cu 0.5000 0.5000 0.0000

---

Li17Zn11Ag: calculated powder diffractogram (Cu Kα X-rays), based on a structure optimized by DFT (GGA-PBE).
Intensities are scaled so that the largest is 100.

Principal peaks in the range 2θ from 10° to 80°, by intensity:
2theta	I_rel
22.16	100
22.42	83
22.03	62
38.88	59
22.25	57
43.20	54

Cell and atoms:
a = 8.4988 Å, b = 8.4988 Å, c = 8.3961 Å
α = 109.09°, β = 109.09°, γ = 109.46°
Sites, in units of the cell vectors:
Li 0.0000 0.0000 0.0000
Li 0.9999 0.4133 0.6887
Li 0.9999 0.6469 0.0030
Li 0.0003 0.6826 0.4120
Li 0.0013 0.0013 0.6418
Li 0.2768 0.5909 0.5886
Li 0.3121 0.7217 0.3119
Li 0.3184 0.3184 0.7320
Li 0.3519 0.3519 0.3542
Li 0.4065 0.6859 0.9977
Li 0.4133 0.9999 0.6887
Li 0.5848 0.5848 0.2734
Li 0.5909 0.2768 0.5886
Li 0.6469 0.9999 0.0030
Li 0.6826 0.0003 0.4120
Li 0.6859 0.4065 0.9977
Li 0.7217 0.3121 0.3119
Zn 0.0058 0.1934 0.3800
Zn 0.1820 0.8137 0.8128
Zn 0.1857 0.3694 0.0001
Zn 0.1934 0.0058 0.3800
Zn 0.3674 0.9986 0.1863
Zn 0.3694 0.1857 0.0001
Zn 0.6235 0.6235 0.8078
Zn 0.6317 0.8187 0.6291
Zn 0.8137 0.1820 0.8128
Zn 0.8187 0.6317 0.6291
Zn 0.9986 0.3674 0.1863
Ag 0.8103 0.8103 0.1853

---

LaPRh2N: calculated powder diffractogram (Cu Kα X-rays), based on a structure optimized by DFT (GGA-PBE).
Intensities are scaled so that the largest is 100.

Principal peaks in the range 2θ from 10° to 80°, by intensity:
2theta	I_rel
14.88	100
36.68	37
39.79	35
18.10	34
48.10	33
30.02	32

Cell and atoms:
a = 4.8999 Å, b = 4.8999 Å, c = 5.9540 Å
α = 90.00°, β = 90.00°, γ = 90.00°
Sites, in units of the cell vectors:
La 0.0000 0.0000 0.0000
P 0.0000 0.0000 0.5000
Rh 0.0000 0.5000 0.0000
Rh 0.5000 0.0000 0.0000
N 0.5000 0.5000 0.5000

---

Ag3Se2S8: calculated powder diffractogram (Cu Kα X-rays), based on a structure optimized by DFT (GGA-PBE).
Intensities are scaled so that the largest is 100.

Principal peaks in the range 2θ from 10° to 80°, by intensity:
2theta	I_rel
26.71	100
11.41	95
25.40	89
16.69	85
12.62	84
17.25	70

Cell and atoms:
a = 6.8866 Å, b = 7.1191 Å, c = 8.3619 Å
α = 88.59°, β = 68.18°, γ = 80.44°
Sites, in units of the cell vectors:
Ag 0.0000 0.0000 0.0000
Ag 0.2206 0.0858 0.3483
Ag 0.4580 0.0528 0.9406
Se 0.8123 0.5778 0.8295
Se 0.8217 0.4436 0.2658
S 0.0163 0.6690 0.5780
S 0.1514 0.5246 0.1098
S 0.2665 0.1212 0.7452
S 0.3157 0.6585 0.5895
S 0.3839 0.3434 0.1475
S 0.4006 0.9235 0.5346
S 0.7085 0.8223 0.0205
S 0.8795 0.1403 0.3051

---

Nb2SnSe4S2: calculated powder diffractogram (Cu Kα X-rays), based on a structure optimized by DFT (GGA-PBE).
Intensities are scaled so that the largest is 100.

Principal peaks in the range 2θ from 10° to 80°, by intensity:
2theta	I_rel
12.50	100
36.21	73
29.22	42
45.24	40
51.81	32
33.84	21

Cell and atoms:
a = 3.5295 Å, b = 3.5295 Å, c = 21.2385 Å
α = 90.00°, β = 90.00°, γ = 120.00°
Sites, in units of the cell vectors:
Nb 0.0000 0.0000 0.0000
Nb 0.3333 0.6667 0.3294
Sn 0.3333 0.6667 0.6822
Se 0.0000 0.0000 0.2509
Se 0.0000 0.0000 0.4080
Se 0.3333 0.6667 0.0786
Se 0.3333 0.6667 0.9216
S 0.0000 0.0000 0.6057
S 0.0000 0.0000 0.7587

---

Rb2PrPdO4: calculated powder diffractogram (Cu Kα X-rays), based on a structure optimized by DFT (GGA-PBE).
Intensities are scaled so that the largest is 100.

Principal peaks in the range 2θ from 10° to 80°, by intensity:
2theta	I_rel
14.55	100
25.28	48
31.17	39
14.43	28
25.06	28
34.56	27

Cell and atoms:
a = 14.0954 Å, b = 12.5704 Å, c = 7.7681 Å
α = 84.22°, β = 62.53°, γ = 33.25°
Sites, in units of the cell vectors:
Rb 0.0723 0.0723 0.6777
Rb 0.3223 0.3223 0.9277
Rb 0.6777 0.6777 0.0723
Rb 0.9277 0.9277 0.3223
Pr 0.1250 0.1250 0.1250
Pr 0.8750 0.8750 0.8750
Pd 0.3750 0.3750 0.3750
Pd 0.6250 0.6250 0.6250
O 0.0357 0.6879 0.5135
O 0.2629 0.5135 0.6879
O 0.3121 0.9643 0.7371
O 0.4865 0.7371 0.9643
O 0.5135 0.2629 0.0357
O 0.6879 0.0357 0.2629
O 0.7371 0.4865 0.3121
O 0.9643 0.3121 0.4865

---

GdPuIn: calculated powder diffractogram (Cu Kα X-rays), based on a structure optimized by DFT (GGA-PBE).
Intensities are scaled so that the largest is 100.

Principal peaks in the range 2θ from 10° to 80°, by intensity:
2theta	I_rel
32.89	100
33.11	50
59.01	38
47.53	19
58.59	18
24.49	12

Cell and atoms:
a = 6.4131 Å, b = 6.4131 Å, c = 6.4131 Å
α = 145.29°, β = 145.29°, γ = 49.91°
Sites, in units of the cell vectors:
Gd 0.0000 0.0000 0.0000
Pu 0.3136 0.3136 0.0000
In 0.6534 0.6534 0.0000

---

LaNd2Y2Er: calculated powder diffractogram (Cu Kα X-rays), based on a structure optimized by DFT (GGA-PBE).
Intensities are scaled so that the largest is 100.

Principal peaks in the range 2θ from 10° to 80°, by intensity:
2theta	I_rel
31.18	100
30.83	68
31.01	32
44.59	24
55.33	13
29.83	13

Cell and atoms:
a = 5.7275 Å, b = 10.0909 Å, c = 7.0284 Å
α = 90.00°, β = 90.00°, γ = 90.00°
Sites, in units of the cell vectors:
La 0.0000 0.1815 0.0000
La 0.0000 0.8185 0.5000
Nd 0.0000 0.4851 0.3156
Nd 0.0000 0.5149 0.8156
Nd 0.5000 0.3075 0.5757
Nd 0.5000 0.6925 0.0757
Y 0.0000 0.1419 0.5084
Y 0.0000 0.8581 0.0084
Y 0.5000 0.3588 0.0703
Y 0.5000 0.6412 0.5703
Er 0.5000 0.0161 0.2617
Er 0.5000 0.9839 0.7617

---

AlZnCl: calculated powder diffractogram (Cu Kα X-rays), based on a structure optimized by DFT (GGA-PBE).
Intensities are scaled so that the largest is 100.

Principal peaks in the range 2θ from 10° to 80°, by intensity:
2theta	I_rel
11.31	100
36.40	38
43.34	29
33.98	15
31.94	15
39.56	12

Cell and atoms:
a = 15.6489 Å, b = 3.2347 Å, c = 3.2347 Å
α = 60.04°, β = 90.00°, γ = 90.00°
Sites, in units of the cell vectors:
Al 0.1350 0.0000 0.0000
Al 0.8650 0.0000 0.0000
Zn 0.0000 0.6664 0.6664
Zn 0.5000 0.8905 0.8905
Cl 0.3989 0.5572 0.5572
Cl 0.6011 0.5572 0.5572

---

Tm3URu4: calculated powder diffractogram (Cu Kα X-rays), based on a structure optimized by DFT (GGA-PBE).
Intensities are scaled so that the largest is 100.

Principal peaks in the range 2θ from 10° to 80°, by intensity:
2theta	I_rel
37.94	100
68.53	35
54.73	17
26.58	9
61.85	4
46.92	3

Cell and atoms:
a = 5.8095 Å, b = 5.8095 Å, c = 5.8095 Å
α = 109.47°, β = 109.47°, γ = 109.47°
Sites, in units of the cell vectors:
Tm 0.0000 0.5000 0.5000
Tm 0.5000 0.0000 0.5000
Tm 0.5000 0.5000 0.0000
U 0.0000 0.0000 0.0000
Ru 0.0000 0.0000 0.5000
Ru 0.0000 0.5000 0.0000
Ru 0.5000 0.0000 0.0000
Ru 0.5000 0.5000 0.5000